# NdSb
Computed XRD peak list, Cu Kα. Input: DFT lattice parameters and positions (PBE).
No peak broadening, texture or thermal motion is included.

Top 9 peaks for 10° ≤ 2θ ≤ 90°, in order of falling intensity:
| two_theta | d_spacing | I/Imax |
| --- | --- | --- |
| 27.88 | 3.200 | 100.0 |
| 39.84 | 2.263 | 76.7 |
| 65.19 | 1.431 | 35.4 |
| 49.32 | 1.848 | 27.5 |
| 72.33 | 1.306 | 26.1 |
| 57.61 | 1.600 | 12.9 |
| 85.91 | 1.131 | 8.4 |
| 24.08 | 3.695 | 1.4 |
| 47.09 | 1.930 | 0.8 |

Structure:
a b c (Å): 4.5255 4.5255 4.5255
angles (deg): 60.00 60.00 60.00
Element x y z (fractional)
Nd (0.0000, 0.0000, 0.0000)
Sb (0.5000, 0.5000, 0.5000)


# NdSb
Computed XRD peak list, Cu Kα. Input: DFT lattice parameters and positions (PBE).
No peak broadening, texture or thermal motion is included.

Top 10 peaks for 10° ≤ 2θ ≤ 90°, in order of falling intensity:
| two_theta | d_spacing | I/Imax |
| --- | --- | --- |
| 33.92 | 2.643 | 100.0 |
| 30.77 | 2.906 | 64.8 |
| 56.75 | 1.622 | 45.2 |
| 44.07 | 2.055 | 24.1 |
| 62.62 | 1.484 | 16.7 |
| 71.39 | 1.321 | 11.3 |
| 72.77 | 1.300 | 10.7 |
| 74.53 | 1.273 | 10.0 |
| 64.09 | 1.453 | 7.8 |
| 53.08 | 1.725 | 6.9 |

Structure:
a b c (Å): 4.1095 4.1095 3.4508
angles (deg): 90.00 90.00 90.00
Element x y z (fractional)
Nd (0.0000, 0.0000, 0.0000)
Sb (0.5000, 0.5000, 0.5000)


# Nd4Sb3
Computed XRD peak list, Cu Kα. Input: DFT lattice parameters and positions (PBE).
No peak broadening, texture or thermal motion is included.

Top 10 peaks for 10° ≤ 2θ ≤ 90°, in order of falling intensity:
| two_theta | d_spacing | I/Imax |
| --- | --- | --- |
| 29.67 | 3.011 | 100.0 |
| 35.27 | 2.544 | 65.4 |
| 59.89 | 1.544 | 25.3 |
| 48.77 | 1.867 | 23.5 |
| 46.74 | 1.943 | 16.8 |
| 73.03 | 1.296 | 15.6 |
| 63.31 | 1.469 | 14.3 |
| 61.61 | 1.505 | 11.9 |
| 88.30 | 1.107 | 10.7 |
| 42.46 | 2.129 | 10.6 |

Structure:
a b c (Å): 8.2451 8.2451 8.2451
angles (deg): 109.47 109.47 109.47
Element x y z (fractional)
Nd (0.0000, 0.1411, 0.5000)
Nd (0.0000, 0.6411, 0.5000)
Nd (0.1411, 0.5000, 0.0000)
Nd (0.3589, 0.3589, 0.3589)
Nd (0.5000, 0.0000, 0.1411)
Nd (0.5000, 0.0000, 0.6411)
Nd (0.6411, 0.5000, 0.0000)
Nd (0.8589, 0.8589, 0.8589)
Sb (0.1250, 0.8750, 0.2500)
Sb (0.2500, 0.1250, 0.8750)
Sb (0.3750, 0.6250, 0.7500)
Sb (0.6250, 0.7500, 0.3750)
Sb (0.7500, 0.3750, 0.6250)
Sb (0.8750, 0.2500, 0.1250)


# NdSbSe
Computed XRD peak list, Cu Kα. Input: DFT lattice parameters and positions (PBE).
No peak broadening, texture or thermal motion is included.

Top 10 peaks for 10° ≤ 2θ ≤ 90°, in order of falling intensity:
| two_theta | d_spacing | I/Imax |
| --- | --- | --- |
| 31.41 | 2.848 | 100.0 |
| 35.79 | 2.509 | 89.3 |
| 29.18 | 3.060 | 54.0 |
| 36.21 | 2.481 | 32.0 |
| 23.12 | 3.847 | 30.0 |
| 42.76 | 2.115 | 27.1 |
| 42.61 | 2.122 | 26.4 |
| 52.61 | 1.740 | 20.5 |
| 52.48 | 1.744 | 20.0 |
| 61.95 | 1.498 | 17.2 |

Structure:
a b c (Å): 18.3625 4.2294 4.2439
angles (deg): 90.00 90.00 90.00
Element x y z (fractional)
Nd (0.1477, 0.2500, 0.2323)
Nd (0.3523, 0.7500, 0.7323)
Nd (0.6477, 0.2500, 0.2677)
Nd (0.8523, 0.7500, 0.7677)
Sb (0.0011, 0.2500, 0.7398)
Sb (0.4989, 0.7500, 0.2398)
Sb (0.5011, 0.2500, 0.7602)
Sb (0.9989, 0.7500, 0.2602)
Se (0.1863, 0.7500, 0.7336)
Se (0.3137, 0.2500, 0.2336)
Se (0.6863, 0.7500, 0.7664)
Se (0.8137, 0.2500, 0.2663)


# NdSm3Sb3
Computed XRD peak list, Cu Kα. Input: DFT lattice parameters and positions (PBE).
No peak broadening, texture or thermal motion is included.

Top 10 peaks for 10° ≤ 2θ ≤ 90°, in order of falling intensity:
| two_theta | d_spacing | I/Imax |
| --- | --- | --- |
| 29.99 | 2.979 | 100.0 |
| 35.66 | 2.518 | 66.4 |
| 60.58 | 1.528 | 23.0 |
| 49.31 | 1.848 | 19.9 |
| 47.27 | 1.923 | 17.3 |
| 62.34 | 1.490 | 12.0 |
| 64.04 | 1.454 | 12.0 |
| 42.93 | 2.107 | 10.3 |
| 45.14 | 2.009 | 8.8 |
| 73.97 | 1.281 | 7.6 |

Structure:
a b c (Å): 8.1647 8.1647 8.1525
angles (deg): 109.47 109.47 109.54
Element x y z (fractional)
Nd (0.0710, 0.9290, 0.5000)
Nd (0.9290, 0.0710, 0.0000)
Sm (0.0714, 0.4282, 0.4999)
Sm (0.2129, 0.7135, 0.1424)
Sm (0.4282, 0.0714, 0.9999)
Sm (0.5714, 0.5717, 0.3582)
Sm (0.5717, 0.5714, 0.8582)
Sm (0.7135, 0.2129, 0.6424)
Sb (0.1977, 0.3242, 0.8762)
Sb (0.3242, 0.1977, 0.3762)
Sb (0.4453, 0.8197, 0.6246)
Sb (0.6924, 0.9450, 0.2493)
Sb (0.8197, 0.4453, 0.1246)
Sb (0.9450, 0.6924, 0.7493)


# NdSm3Sb3
Computed XRD peak list, Cu Kα. Input: DFT lattice parameters and positions (PBE).
No peak broadening, texture or thermal motion is included.

Top 10 peaks for 10° ≤ 2θ ≤ 90°, in order of falling intensity:
| two_theta | d_spacing | I/Imax |
| --- | --- | --- |
| 29.96 | 2.983 | 100.0 |
| 35.62 | 2.521 | 66.1 |
| 60.51 | 1.530 | 25.2 |
| 49.26 | 1.850 | 23.5 |
| 47.21 | 1.925 | 17.2 |
| 73.83 | 1.283 | 15.2 |
| 63.97 | 1.455 | 14.4 |
| 62.26 | 1.491 | 12.0 |
| 89.36 | 1.096 | 10.8 |
| 42.88 | 2.109 | 10.3 |

Structure:
a b c (Å): 9.4316 9.4316 9.4316
angles (deg): 90.00 90.00 90.00
Element x y z (fractional)
Nd (0.0711, 0.4289, 0.5711)
Nd (0.4289, 0.5711, 0.0711)
Nd (0.5711, 0.0711, 0.4289)
Nd (0.9289, 0.9289, 0.9289)
Sm (0.0714, 0.5714, 0.9286)
Sm (0.1794, 0.1794, 0.1794)
Sm (0.1791, 0.8209, 0.3209)
Sm (0.3209, 0.1791, 0.8209)
Sm (0.3206, 0.8206, 0.6794)
Sm (0.4286, 0.4286, 0.4286)
Sm (0.5714, 0.9286, 0.0714)
Sm (0.6794, 0.3206, 0.8206)
Sm (0.6791, 0.6791, 0.6791)
Sm (0.8209, 0.3209, 0.1791)
Sm (0.8206, 0.6794, 0.3206)
Sm (0.9286, 0.0714, 0.5714)
Sb (0.0002, 0.2512, 0.8761)
Sb (0.9998, 0.7512, 0.6239)
Sb (0.1239, 0.5002, 0.2488)
Sb (0.2488, 0.1239, 0.5002)
Sb (0.2512, 0.8761, 0.0002)
Sb (0.3761, 0.4998, 0.7488)
Sb (0.5002, 0.2488, 0.1239)
Sb (0.4998, 0.7488, 0.3761)
Sb (0.6239, 0.9998, 0.7512)
Sb (0.7488, 0.3761, 0.4998)
Sb (0.7512, 0.6239, 0.9998)
Sb (0.8761, 0.0002, 0.2512)